Entry 1:
# Y2Be15Ni2
Calculated XRD peak list, a wavelength of 1.5418 Å. Input: the GGA-PBE geometry in Alexandria.
Peak positions follow from Bragg's law for the DFT cell and can differ from measured ones.

Cell and atoms:
a b c (Å): 7.7901 7.7901 11.4074
angles (deg): 90.00 90.00 120.00
Space group R-3m (No. 166, hexagonal axes)
Unique sites:
Y 0.0000 0.0000 0.1575
Be 0.0000 0.2735 0.5000
Be 0.0000 0.5000 0.0000
Be 0.0091 0.5046 0.3385
Ni 0.0000 0.0000 0.3968

Main lines, in order of rising 2θ (10° ≤ 2θ ≤ 90°):
2θ/deg  Rel. int.
22.8  100.0
32.9  18.4
34.1  24.0
40.1  29.6
41.5  16.8
46.6  23.3
46.9  10.8
47.9  21.6
63.2  12.6
68.3  9.0

Entry 2:
# Rb2Sn4HgPb3
Calculated XRD peak list, a wavelength of 1.5418 Å. Input: the GGA-PBE geometry in Alexandria.
Peak positions follow from Bragg's law for the DFT cell and can differ from measured ones.

Cell and atoms:
a b c (Å): 5.2145 5.2145 13.2266
angles (deg): 90.00 90.00 90.00
Space group P-4m2 (No. 115)
Unique sites:
Rb 0.0000 0.5000 0.2445
Sn 0.0000 0.0000 0.5000
Sn 0.0000 0.5000 0.8758
Sn 0.5000 0.5000 0.5000
Hg 0.5000 0.5000 0.0000
Pb 0.0000 0.0000 0.0000
Pb 0.0000 0.5000 0.6336

Main lines, in order of rising 2θ (10° ≤ 2θ ≤ 90°):
2θ/deg  Rel. int.
13.4  32.6
18.3  31.6
26.5  51.7
27.7  100.0
34.4  83.6
36.5  82.6
38.1  28.1
49.4  30.5
57.6  26.9
63.0  35.3

Entry 3:
# Pr4Au2SCl
Calculated XRD peak list, a wavelength of 1.5418 Å. Input: the GGA-PBE geometry in Alexandria.
Peak positions follow from Bragg's law for the DFT cell and can differ from measured ones.

Cell and atoms:
a b c (Å): 7.3319 4.2314 7.4904
angles (deg): 90.00 109.10 90.00
Space group P2/m (No. 10)
Unique sites:
Pr 0.2377 0.0000 0.2368
Pr 0.2419 0.5000 0.7559
Au 0.0000 0.0000 0.5000
Au 0.5000 0.5000 0.5000
S 0.0000 0.5000 0.0000
Cl 0.5000 0.0000 0.0000

Main lines, in order of rising 2θ (10° ≤ 2θ ≤ 90°):
2θ/deg  Rel. int.
12.5  17.7
24.6  16.4
29.6  100.0
42.0  38.2
42.7  36.7
52.9  19.5
61.5  12.2
69.2  16.9
70.2  11.1
77.8  12.3

Entry 4:
# Pu2TiO11
Calculated XRD peak list, a wavelength of 1.5418 Å. Input: the GGA-PBE geometry in Alexandria.
Peak positions follow from Bragg's law for the DFT cell and can differ from measured ones.

Cell and atoms:
a b c (Å): 13.8373 9.7182 9.7907
angles (deg): 90.00 133.97 90.00
Space group Cc (No. 9)
Unique sites:
Pu 0.0000 0.0898 0.0000
Pu 0.4876 0.1609 0.0009
Ti 0.2416 0.2614 0.4877
O 0.0064 0.1244 0.5349
O 0.1125 0.3653 0.7566
O 0.1320 0.3552 0.4984
O 0.1330 0.1478 0.2800
O 0.1433 0.0741 0.0265
O 0.3424 0.3708 0.4727
O 0.3492 0.1618 0.9859
O 0.3566 0.1704 0.7140
O 0.3776 0.4400 0.2448
O 0.4556 0.0925 0.4877
O 0.4957 0.1638 0.4243

Main lines, in order of rising 2θ (10° ≤ 2θ ≤ 90°):
2θ/deg  Rel. int.
17.8  86.6
18.1  81.5
22.2  100.0
22.4  93.1
25.3  60.4
25.8  57.4
29.0  32.4
34.1  48.9
34.5  24.2
43.4  24.2

Entry 5:
# Ti7Co2Pd2
Calculated XRD peak list, a wavelength of 1.5418 Å. Input: the GGA-PBE geometry in Alexandria.
Peak positions follow from Bragg's law for the DFT cell and can differ from measured ones.

Cell and atoms:
a b c (Å): 7.1151 9.0528 5.8453
angles (deg): 90.00 90.00 90.00
Space group Cmmm (No. 65)
Unique sites:
Ti 0.0000 0.0000 0.0000
Ti 0.0000 0.5000 0.2481
Ti 0.2500 0.2500 0.2508
Co 0.0000 0.2833 0.0000
Pd 0.1846 0.0000 0.5000

Main lines, in order of rising 2θ (10° ≤ 2θ ≤ 90°):
2θ/deg  Rel. int.
24.9  81.4
29.4  70.1
34.6  35.7
39.3  23.4
39.8  61.6
42.3  24.7
44.9  100.0
45.0  36.3
50.3  22.6
51.4  40.7

Entry 6:
# Th8Te4Ir3N
Calculated XRD peak list, a wavelength of 1.5418 Å. Input: the GGA-PBE geometry in Alexandria.
Peak positions follow from Bragg's law for the DFT cell and can differ from measured ones.

Cell and atoms:
a b c (Å): 14.3674 8.2763 8.9764
angles (deg): 90.00 122.26 90.00
Space group C2/m (No. 12)
Unique sites:
Th 0.0128 0.2376 0.3010
Th 0.2268 0.0000 0.7007
Th 0.2335 0.5000 0.7003
Te 0.0000 0.0000 0.0000
Te 0.0000 0.5000 0.0000
Te 0.2500 0.2500 0.0000
Ir 0.0000 0.5000 0.5000
Ir 0.2500 0.2500 0.5000
N 0.0000 0.0000 0.5000

Main lines, in order of rising 2θ (10° ≤ 2θ ≤ 90°):
2θ/deg  Rel. int.
11.7  15.2
29.4  100.0
37.3  12.1
40.5  30.1
43.7  38.0
50.9  9.1
53.6  18.7
61.1  11.1
71.5  10.4
78.0  11.9

Entry 7:
# Y5Ga2
Calculated XRD peak list, a wavelength of 1.5418 Å. Input: the GGA-PBE geometry in Alexandria.
Peak positions follow from Bragg's law for the DFT cell and can differ from measured ones.

Cell and atoms:
a b c (Å): 15.8442 6.2881 8.0310
angles (deg): 90.00 97.36 90.00
Space group C2/c (No. 15)
Unique sites:
Y 0.0000 0.1179 0.2500
Y 0.0938 0.3676 0.9222
Y 0.2210 0.0773 0.3197
Ga 0.1044 0.1941 0.5812

Main lines, in order of rising 2θ (10° ≤ 2θ ≤ 90°):
2θ/deg  Rel. int.
30.0  53.1
30.6  78.2
31.8  57.3
32.2  44.1
32.5  42.2
33.2  100.0
34.0  45.6
35.0  45.5
36.5  89.0
47.6  42.4

Entry 8:
# Ag2PdPt2Au4
Calculated XRD peak list, a wavelength of 1.5418 Å. Input: the GGA-PBE geometry in Alexandria.
Peak positions follow from Bragg's law for the DFT cell and can differ from measured ones.

Cell and atoms:
a b c (Å): 2.8398 2.8398 22.2983
angles (deg): 90.00 90.00 120.00
Space group P3m1 (No. 156)
Unique sites:
Ag 0.0000 0.0000 0.0000
Ag 0.3333 0.6667 0.3402
Pd 0.3333 0.6667 0.6776
Pt 0.0000 0.0000 0.5747
Pt 0.0000 0.0000 0.7808
Au 0.0000 0.0000 0.2282
Au 0.0000 0.0000 0.4511
Au 0.3333 0.6667 0.1116
Au 0.3333 0.6667 0.8900

Main lines, in order of rising 2θ (10° ≤ 2θ ≤ 90°):
2θ/deg  Rel. int.
36.3  64.6
36.5  58.3
36.8  19.9
40.1  87.8
42.0  100.0
44.2  17.0
52.4  37.8
65.8  38.2
70.4  22.8
77.5  43.4

Entry 9:
# Zn3Pt2Au2
Calculated XRD peak list, a wavelength of 1.5418 Å. Input: the GGA-PBE geometry in Alexandria.
Peak positions follow from Bragg's law for the DFT cell and can differ from measured ones.

Cell and atoms:
a b c (Å): 4.1619 4.5949 7.1691
angles (deg): 77.29 73.14 63.19
Space group P-1 (No. 2)
Unique sites:
Zn 0.0000 0.0000 0.0000
Zn 0.4925 0.3111 0.7047
Pt 0.2136 0.9428 0.6295
Au 0.2527 0.3591 0.1355

Main lines, in order of rising 2θ (10° ≤ 2θ ≤ 90°):
2θ/deg  Rel. int.
24.2  54.6
31.9  67.9
39.6  18.6
40.1  100.0
40.8  80.6
43.5  44.1
47.8  25.3
49.6  20.9
50.4  16.1
66.6  18.5

Entry 10:
# AcZn9Ni3
Calculated XRD peak list, a wavelength of 1.5418 Å. Input: the GGA-PBE geometry in Alexandria.
Peak positions follow from Bragg's law for the DFT cell and can differ from measured ones.

Cell and atoms:
a b c (Å): 5.0201 12.7547 6.8092
angles (deg): 90.00 111.20 90.00
Space group C2/m (No. 12)
Unique sites:
Ac 0.0000 0.0000 0.0000
Zn 0.0000 0.5000 0.5000
Zn 0.1161 0.3800 0.2287
Zn 0.1586 0.1790 0.3442
Ni 0.0000 0.0000 0.5000
Ni 0.2500 0.2500 0.0000

Main lines, in order of rising 2θ (10° ≤ 2θ ≤ 90°):
2θ/deg  Rel. int.
28.4  53.4
31.5  32.5
34.8  33.6
34.9  31.0
35.8  26.1
40.1  86.0
40.3  100.0
40.6  34.2
41.1  41.4
41.3  48.6

Entry 11:
# Pr2InSe
Calculated XRD peak list, a wavelength of 1.5418 Å. Input: the GGA-PBE geometry in Alexandria.
Peak positions follow from Bragg's law for the DFT cell and can differ from measured ones.

Cell and atoms:
a b c (Å): 4.1854 4.1854 24.0675
angles (deg): 90.00 90.00 120.00
Space group R-3m (No. 166, hexagonal axes)
Unique sites:
Pr 0.0000 0.0000 0.2419
In 0.0000 0.0000 0.0000
Se 0.0000 0.0000 0.5000

Main lines, in order of rising 2θ (10° ≤ 2θ ≤ 90°):
2θ/deg  Rel. int.
28.8  100.0
38.9  41.0
43.2  33.6
45.2  8.2
52.8  18.1
55.8  6.7
59.6  11.6
64.3  16.3
70.5  15.1
76.4  11.1

Entry 12:
# Ac2Pd5Au4
Calculated XRD peak list, a wavelength of 1.5418 Å. Input: the GGA-PBE geometry in Alexandria.
Peak positions follow from Bragg's law for the DFT cell and can differ from measured ones.

Cell and atoms:
a b c (Å): 5.7074 9.5455 17.6652
angles (deg): 90.00 90.00 90.00
Space group Fmmm (No. 69)
Unique sites:
Ac 0.0000 0.0000 0.1301
Pd 0.0000 0.0000 0.5000
Pd 0.2500 0.2500 0.0000
Pd 0.2500 0.2500 0.2500
Au 0.0000 0.1610 0.3721

Main lines, in order of rising 2θ (10° ≤ 2θ ≤ 90°):
2θ/deg  Rel. int.
20.1  43.0
31.3  27.0
32.6  64.9
35.7  100.0
37.5  98.5
40.9  49.5
41.3  47.6
48.7  31.2
67.4  43.4
81.9  26.5